Record 1
Structure and theoretical powder X-ray diffraction pattern of AcPr5Y2Er (a structure optimized by DFT (PBE); CuKα).
Kinematic intensities with the Lorentz-polarization factor, no thermal factor.

Largest 6 diffraction maxima, most intense first, 2θ from 10° to 90°:
hkl, two_theta, Rel. int.
1 5 2, 30.52, 100
1 7 1, 31.35, 83
2 0 0, 31.88, 69
1 1 3, 32.57, 67
1 7 5, 57.27, 28
0 6 2, 28.63, 27

Crystal structure
```
data_AcPr5Y2Er
_chemical_formula_sum 'Ac4 Pr20 Y8 Er4'
_space_group_name_H-M_alt 'C m c 21'
_space_group_IT_number 36
_space_group_name_Hall 'C 2c -2'
_cell_length_a 5.615
_cell_length_b 24.730
_cell_length_c 9.535
_cell_angle_alpha 90.00
_cell_angle_beta 90.00
_cell_angle_gamma 90.00
loop_
_atom_site_label
_atom_site_type_symbol
_atom_site_fract_x
_atom_site_fract_y
_atom_site_fract_z
Ac1 Ac 0.000 0.102 0.000
Pr1 Pr 0.000 0.024 0.674
Pr2 Pr 0.000 0.107 0.397
Pr3 Pr 0.000 0.191 0.705
Pr4 Pr 0.000 0.241 0.066
Pr5 Pr 0.000 0.490 0.890
Y1 Y 0.000 0.326 0.751
Y2 Y 0.000 0.388 0.148
Er1 Er 0.000 0.263 0.393
```

Record 2
Structure and theoretical powder X-ray diffraction pattern of AcErPt4 (a structure optimized by DFT (PBE); CuKα).
Kinematic intensities with the Lorentz-polarization factor, no thermal factor.

Largest 6 diffraction maxima, most intense first, 2θ from 10° to 90°:
hkl, two_theta, Rel. int.
3 1 1, 38.08, 100
2 2 2, 39.84, 40
5 1 1, 61.47, 34
4 4 0, 67.62, 29
2 2 0, 32.31, 27
6 2 2, 81.45, 16

Crystal structure
```
data_AcErPt4
_chemical_formula_sum 'Ac4 Er4 Pt16'
_space_group_name_H-M_alt 'F -4 3 m'
_space_group_IT_number 216
_space_group_name_Hall 'F -4 2 3'
_cell_length_a 7.838
_cell_length_b 7.838
_cell_length_c 7.838
_cell_angle_alpha 90.00
_cell_angle_beta 90.00
_cell_angle_gamma 90.00
loop_
_atom_site_label
_atom_site_type_symbol
_atom_site_fract_x
_atom_site_fract_y
_atom_site_fract_z
Ac1 Ac 0.000 0.000 0.000
Er1 Er 0.250 0.250 0.250
Pt1 Pt 0.124 0.124 0.624
```

Record 3
Structure and theoretical powder X-ray diffraction pattern of Ac2ErSi3Pt12 (a structure optimized by DFT (PBE); CuKα).
Kinematic intensities with the Lorentz-polarization factor, no thermal factor.

Largest 6 diffraction maxima, most intense first, 2θ from 10° to 90°:
hkl, two_theta, Rel. int.
0 2 4, 31.21, 100
2 2 0, 43.20, 59
2 0 8, 46.20, 41
1 2 2, 34.08, 21
0 4 8, 65.08, 19
4 0 4, 54.25, 17

Crystal structure
```
data_Ac2ErSi3Pt12
_chemical_formula_sum 'Ac6 Er3 Si9 Pt36'
_space_group_name_H-M_alt 'R -3 m'
_space_group_IT_number 166
_space_group_name_Hall '-R 3 2"'
_cell_length_a 8.3761
_cell_length_b 8.3761
_cell_length_c 18.7043
_cell_angle_alpha 90.00
_cell_angle_beta 90.00
_cell_angle_gamma 120.00
loop_
_atom_site_label
_atom_site_type_symbol
_atom_site_fract_x
_atom_site_fract_y
_atom_site_fract_z
Ac1 Ac 0.0000 0.0000 0.1044
Er1 Er 0.0000 0.0000 0.5000
Si1 Si 0.0000 0.5000 0.0000
Pt1 Pt 0.0208 0.5104 0.8742
Pt2 Pt 0.0376 0.5188 0.3643
```

Record 4
Structure and theoretical powder X-ray diffraction pattern of AcEr2PuSb4 (a structure optimized by DFT (PBE); CuKα).
Kinematic intensities with the Lorentz-polarization factor, no thermal factor.

Largest 6 diffraction maxima, most intense first, 2θ from 10° to 90°:
hkl, two_theta, Rel. int.
1 1 1, 28.08, 100
0 2 0, 40.13, 77
2 2 -2, 49.70, 27
1 3 1, 65.69, 24
1 3 -3, 72.90, 20
2 2 2, 58.05, 13

Crystal structure
```
data_AcEr2PuSb4
_chemical_formula_sum 'Ac1 Er2 Pu1 Sb4'
_space_group_name_H-M_alt 'P 1 2/m 1'
_space_group_IT_number 10
_space_group_name_Hall '-P 2y'
_cell_length_a 7.776
_cell_length_b 4.499
_cell_length_c 7.783
_cell_angle_alpha 90.00
_cell_angle_beta 109.48
_cell_angle_gamma 90.00
loop_
_atom_site_label
_atom_site_type_symbol
_atom_site_fract_x
_atom_site_fract_y
_atom_site_fract_z
Ac1 Ac 0.000 0.000 0.000
Er1 Er 0.500 0.000 0.500
Er2 Er 0.500 0.500 0.000
Pu1 Pu 0.000 0.500 0.500
Sb1 Sb 0.262 0.000 0.744
Sb2 Sb 0.269 0.500 0.266
```

Record 5
Structure and theoretical powder X-ray diffraction pattern of Ac4ErPu3Se8 (a structure optimized by DFT (PBE); CuKα).
Kinematic intensities with the Lorentz-polarization factor, no thermal factor.

Largest 6 diffraction maxima, most intense first, 2θ from 10° to 90°:
hkl, two_theta, Rel. int.
4 0 0, 29.37, 100
0 4 0, 42.34, 38
2 2 2, 41.70, 38
2 2 0, 25.49, 31
4 4 0, 52.36, 20
10 2 -2, 69.52, 18

Crystal structure
```
data_Ac4ErPu3Se8
_chemical_formula_sum 'Ac8 Er2 Pu6 Se16'
_space_group_name_H-M_alt 'C 1 2/m 1'
_space_group_IT_number 12
_space_group_name_Hall '-C 2y'
_cell_length_a 14.792
_cell_length_b 8.539
_cell_length_c 8.666
_cell_angle_alpha 90.00
_cell_angle_beta 124.68
_cell_angle_gamma 90.00
loop_
_atom_site_label
_atom_site_type_symbol
_atom_site_fract_x
_atom_site_fract_y
_atom_site_fract_z
Ac1 Ac 0.000 0.000 0.000
Ac2 Ac 0.000 0.500 0.000
Ac3 Ac 0.250 0.250 0.000
Er1 Er 0.000 0.000 0.500
Pu1 Pu 0.000 0.500 0.500
Pu2 Pu 0.250 0.250 0.500
Se1 Se 0.007 0.246 0.275
Se2 Se 0.239 0.000 0.725
Se3 Se 0.243 0.500 0.728
```

Record 6
Structure and theoretical powder X-ray diffraction pattern of AcEr4S8 (a structure optimized by DFT (PBE); CuKα).
Kinematic intensities with the Lorentz-polarization factor, no thermal factor.

Largest 6 diffraction maxima, most intense first, 2θ from 10° to 90°:
hkl, two_theta, Rel. int.
0 2 4, 31.34, 100
0 0 3, 12.55, 58
2 0 2, 27.63, 39
2 0 8, 43.39, 38
2 2 0, 46.40, 36
1 0 1, 13.72, 27

Crystal structure
```
data_AcEr4S8
_chemical_formula_sum 'Ac3 Er12 S24'
_space_group_name_H-M_alt 'R -3 m'
_space_group_IT_number 166
_space_group_name_Hall '-R 3 2"'
_cell_length_a 7.8287
_cell_length_b 7.8287
_cell_length_c 21.1623
_cell_angle_alpha 90.00
_cell_angle_beta 90.00
_cell_angle_gamma 120.00
loop_
_atom_site_label
_atom_site_type_symbol
_atom_site_fract_x
_atom_site_fract_y
_atom_site_fract_z
Ac1 Ac 0.0000 0.0000 0.0000
Er1 Er 0.0000 0.0000 0.5000
Er2 Er 0.0000 0.5000 0.5000
S1 S 0.0000 0.0000 0.2354
S2 S 0.0018 0.5009 0.7613
```

Record 7
Structure and theoretical powder X-ray diffraction pattern of AcSmEr4S8 (a structure optimized by DFT (PBE); CuKα).
Kinematic intensities with the Lorentz-polarization factor, no thermal factor.

Largest 6 diffraction maxima, most intense first, 2θ from 10° to 90°:
hkl, two_theta, Rel. int.
0 2 1, 25.69, 100
0 3 3, 40.75, 42
2 0 8, 44.29, 35
2 2 0, 44.67, 35
0 1 5, 25.51, 31
1 0 4, 21.73, 24

Crystal structure
```
data_AcSmEr4S8
_chemical_formula_sum 'Ac3 Sm3 Er12 S24'
_space_group_name_H-M_alt 'R 3 m'
_space_group_IT_number 160
_space_group_name_Hall 'R 3 -2"'
_cell_length_a 8.1153
_cell_length_b 8.1153
_cell_length_c 20.1177
_cell_angle_alpha 90.00
_cell_angle_beta 90.00
_cell_angle_gamma 120.00
loop_
_atom_site_label
_atom_site_type_symbol
_atom_site_fract_x
_atom_site_fract_y
_atom_site_fract_z
Ac1 Ac 0.0000 0.0000 0.0000
Sm1 Sm 0.0000 0.0000 0.6238
Er1 Er 0.0000 0.0000 0.2520
Er2 Er 0.0057 0.5028 0.1271
S1 S 0.0000 0.0000 0.3833
S2 S 0.0000 0.0000 0.8597
S3 S 0.0372 0.5186 0.3842
S4 S 0.1717 0.3434 0.2043
```

Record 8
Structure and theoretical powder X-ray diffraction pattern of Ac2ErUS6 (a structure optimized by DFT (PBE); CuKα).
Kinematic intensities with the Lorentz-polarization factor, no thermal factor.

Largest 6 diffraction maxima, most intense first, 2θ from 10° to 90°:
hkl, two_theta, Rel. int.
1 1 0, 24.46, 100
1 0 4, 23.77, 97
0 2 4, 34.37, 51
3 -1 4, 42.64, 49
2 -1 6, 38.12, 48
3 0 0, 43.05, 38

Crystal structure
```
data_Ac2ErUS6
_chemical_formula_sum 'Ac6 Er3 U3 S18'
_space_group_name_H-M_alt 'R 3'
_space_group_IT_number 146
_space_group_name_Hall 'R 3'
_cell_length_a 7.2786
_cell_length_b 7.2786
_cell_length_c 18.6079
_cell_angle_alpha 90.00
_cell_angle_beta 90.00
_cell_angle_gamma 120.00
loop_
_atom_site_label
_atom_site_type_symbol
_atom_site_fract_x
_atom_site_fract_y
_atom_site_fract_z
Ac1 Ac 0.0000 0.0000 0.0000
Ac2 Ac 0.0000 0.0000 0.4990
Er1 Er 0.0000 0.0000 0.2113
U1 U 0.0000 0.0000 0.7115
S1 S 0.0641 0.3503 0.2826
S2 S 0.0678 0.7115 0.7841
```

Record 9
Structure and theoretical powder X-ray diffraction pattern of Ac2ErZrS6 (a structure optimized by DFT (PBE); CuKα).
Kinematic intensities with the Lorentz-polarization factor, no thermal factor.

Largest 6 diffraction maxima, most intense first, 2θ from 10° to 90°:
hkl, two_theta, Rel. int.
0 2 1, 24.53, 100
2 0 -1, 17.48, 36
2 0 0, 24.19, 32
2 0 -2, 25.41, 31
0 0 2, 35.37, 29
4 0 -1, 38.92, 24

Crystal structure
```
data_Ac2ErZrS6
_chemical_formula_sum 'Ac4 Er2 Zr2 S12'
_space_group_name_H-M_alt 'C 1 m 1'
_space_group_IT_number 8
_space_group_name_Hall 'C -2y'
_cell_length_a 10.161
_cell_length_b 10.384
_cell_length_c 7.010
_cell_angle_alpha 90.00
_cell_angle_beta 133.60
_cell_angle_gamma 90.00
loop_
_atom_site_label
_atom_site_type_symbol
_atom_site_fract_x
_atom_site_fract_y
_atom_site_fract_z
Ac1 Ac 0.000 0.216 0.000
Er1 Er 0.423 0.000 0.506
Zr1 Zr 0.399 0.500 0.472
S1 S 0.081 0.500 0.005
S2 S 0.096 0.000 0.368
S3 S 0.194 0.000 0.976
S4 S 0.242 0.500 0.649
S5 S 0.403 0.254 0.479
```

Record 10
Structure and theoretical powder X-ray diffraction pattern of Ac5ErSb6 (a structure optimized by DFT (PBE); CuKα).
Kinematic intensities with the Lorentz-polarization factor, no thermal factor.

Largest 6 diffraction maxima, most intense first, 2θ from 10° to 90°:
hkl, two_theta, Rel. int.
2 0 -2, 26.65, 100
1 3 -3, 38.05, 78
3 3 -5, 62.05, 37
0 0 4, 47.06, 28
2 0 -6, 68.73, 23
2 0 0, 23.03, 14

Crystal structure
```
data_Ac5ErSb6
_chemical_formula_sum 'Ac10 Er2 Sb12'
_space_group_name_H-M_alt 'C 1 2/m 1'
_space_group_IT_number 12
_space_group_name_Hall '-C 2y'
_cell_length_a 8.192
_cell_length_b 14.195
_cell_length_c 8.196
_cell_angle_alpha 90.00
_cell_angle_beta 109.56
_cell_angle_gamma 90.00
loop_
_atom_site_label
_atom_site_type_symbol
_atom_site_fract_x
_atom_site_fract_y
_atom_site_fract_z
Ac1 Ac 0.000 0.000 0.000
Ac2 Ac 0.000 0.165 0.500
Ac3 Ac 0.000 0.330 0.000
Er1 Er 0.000 0.500 0.500
Sb1 Sb 0.238 0.500 0.256
Sb2 Sb 0.240 0.340 0.740
```

Record 11
Structure and theoretical powder X-ray diffraction pattern of AcTbEr2Sb4 (a structure optimized by DFT (PBE); CuKα).
Kinematic intensities with the Lorentz-polarization factor, no thermal factor.

Largest 6 diffraction maxima, most intense first, 2θ from 10° to 90°:
hkl, two_theta, Rel. int.
1 1 1, 28.15, 100
0 2 0, 40.23, 76
1 3 1, 65.87, 29
2 2 -2, 49.82, 27
1 3 -3, 73.10, 19
2 2 2, 58.21, 13

Crystal structure
```
data_AcTbEr2Sb4
_chemical_formula_sum 'Ac1 Tb1 Er2 Sb4'
_space_group_name_H-M_alt 'P 1 2/m 1'
_space_group_IT_number 10
_space_group_name_Hall '-P 2y'
_cell_length_a 7.756
_cell_length_b 4.487
_cell_length_c 7.767
_cell_angle_alpha 90.00
_cell_angle_beta 109.45
_cell_angle_gamma 90.00
loop_
_atom_site_label
_atom_site_type_symbol
_atom_site_fract_x
_atom_site_fract_y
_atom_site_fract_z
Ac1 Ac 0.000 0.000 0.000
Tb1 Tb 0.000 0.500 0.500
Er1 Er 0.500 0.000 0.500
Er2 Er 0.500 0.500 0.000
Sb1 Sb 0.261 0.000 0.744
Sb2 Sb 0.268 0.500 0.266
```

Record 12
Structure and theoretical powder X-ray diffraction pattern of Ac2ErSb2Te2 (a structure optimized by DFT (PBE); CuKα).
Kinematic intensities with the Lorentz-polarization factor, no thermal factor.

Largest 6 diffraction maxima, most intense first, 2θ from 10° to 90°:
hkl, two_theta, Rel. int.
2 0 0, 31.56, 100
1 0 5, 31.10, 81
1 1 0, 22.18, 75
2 1 5, 44.90, 60
1 1 4, 30.94, 53
2 2 0, 45.24, 37

Crystal structure
```
data_Ac2ErSb2Te2
_chemical_formula_sum 'Ac4 Er2 Sb4 Te4'
_space_group_name_H-M_alt 'I 4/m m m'
_space_group_IT_number 139
_space_group_name_Hall '-I 4 2'
_cell_length_a 5.669
_cell_length_b 5.669
_cell_length_c 16.688
_cell_angle_alpha 90.00
_cell_angle_beta 90.00
_cell_angle_gamma 90.00
loop_
_atom_site_label
_atom_site_type_symbol
_atom_site_fract_x
_atom_site_fract_y
_atom_site_fract_z
Ac1 Ac 0.000 0.000 0.125
Er1 Er 0.000 0.000 0.500
Sb1 Sb 0.000 0.500 0.000
Te1 Te 0.000 0.000 0.318
```